Structure and theoretical X-ray powder pattern of TaP2NCl12 (the GGA-PBE geometry in Alexandria; a wavelength of 1.5418 Å).
No peak broadening, texture or thermal motion is included.

Atomic structure:
Cell lengths 14.1909, 9.1846, 16.0176 Å; angles 90.00, 103.97, 90.00 degrees
Space group C2/c (No. 15)
Inequivalent atoms, fractional coordinates:
Ta1 0.0000 0.0000 0.0000 x4
P1 0.1089 0.4494 0.2760 x8
N1 0.0000 0.4031 0.2500 x4
Cl1 0.0362 0.2520 0.5159 x8
Cl2 0.0785 0.0376 0.1466 x8
Cl3 0.1316 0.3591 0.8348 x8
Cl4 0.1495 0.0421 0.9608 x8
Cl5 0.1666 0.4604 0.1752 x8
Cl6 0.1846 0.3038 0.3546 x8

Most intense lines, 2θ = 10–90°, by angle:
d [Å]  2θ/deg  I (rel.)  hkl
7.641  11.6  34.4  1 1 0
6.886  12.9  27.0  2 0 0
5.855  15.1  100.0  1 1 -2
5.117  17.3  55.2  1 1 2
4.629  19.2  22.1  2 0 2
4.592  19.3  23.5  0 2 0
4.106  21.6  30.1  3 1 0
3.474  25.6  22.3  4 0 -2
2.989  29.9  14.6  1 3 0
2.742  32.7  15.9  1 3 2